No. 1
# La6PrSm
Theoretical powder XRD pattern, Cu Kα. Input: a crystal structure in Alexandria, relaxed with GGA-PBE.

Structural model:
a b c (Å): 5.241 5.241 10.483
angles (deg): 90.00 90.00 90.00
Space group P4/mmm (No. 123)
Symmetry-distinct sites (fractional):
1 La 0.000 0.000 0.000 x1
2 La 0.000 0.000 0.500 x1
3 La 0.000 0.500 0.249 x4
4 Pr 0.500 0.500 0.500 x1
5 Sm 0.500 0.500 0.000 x1

Most intense lines, 10° ≤ 2θ ≤ 80°, by angle:
hkl 1 1 2, d = 3.026 Å, 2θ 29.52, I = 100; hkl 2 0 0, d = 2.621 Å, 2θ 34.21, I = 51; hkl 2 2 0, d = 1.853 Å, 2θ 49.17, I = 36; hkl 3 1 2, d = 1.580 Å, 2θ 58.39, I = 43; hkl 2 2 4, d = 1.513 Å, 2θ 61.26, I = 12; hkl 4 0 0, d = 1.310 Å, 2θ 72.08, I = 6; hkl 3 3 2, d = 1.202 Å, 2θ 79.75, I = 18

No. 2
# TlO
Theoretical powder XRD pattern, Cu Kα. Input: a crystal structure in Alexandria, relaxed with GGA-PBE.

Structural model:
a b c (Å): 4.468 9.441 3.735
angles (deg): 90.00 90.00 90.00
Space group Cmcm (No. 63)
Symmetry-distinct sites (fractional):
1 Tl 0.000 0.137 0.250 x4
2 O 0.000 0.282 0.750 x4

Most intense lines, 10° ≤ 2θ ≤ 80°, by angle:
hkl 1 1 0, d = 4.038 Å, 2θ 22.01, I = 86; hkl 0 2 1, d = 2.929 Å, 2θ 30.52, I = 100; hkl 1 1 1, d = 2.742 Å, 2θ 32.66, I = 73; hkl 1 3 0, d = 2.573 Å, 2θ 34.87, I = 43; hkl 2 0 0, d = 2.234 Å, 2θ 40.38, I = 26; hkl 1 3 1, d = 2.119 Å, 2θ 42.67, I = 28; hkl 2 2 1, d = 1.776 Å, 2θ 51.45, I = 47; hkl 1 5 1, d = 1.577 Å, 2θ 58.54, I = 28

No. 3
# KVSe2
Theoretical powder XRD pattern, Cu Kα. Input: a crystal structure in Alexandria, relaxed with GGA-PBE.

Structural model:
a b c (Å): 17.055 3.402 8.110
angles (deg): 90.00 101.87 90.00
Space group Cm (No. 8)
Symmetry-distinct sites (fractional):
1 K 0.000 0.000 0.000 x2
2 K 0.239 0.500 0.184 x2
3 V 0.093 0.500 0.623 x2
4 V 0.476 0.500 0.451 x2
5 Se 0.115 0.000 0.409 x2
6 Se 0.159 0.000 0.836 x2
7 Se 0.407 0.000 0.239 x2
8 Se 0.453 0.000 0.657 x2

Most intense lines, 10° ≤ 2θ ≤ 80°, by angle:
hkl 2 0 0, d = 8.345 Å, 2θ 10.60, I = 100; hkl 0 0 1, d = 7.936 Å, 2θ 11.15, I = 29; hkl 2 0 -1, d = 6.452 Å, 2θ 13.73, I = 73; hkl 4 0 0, d = 4.173 Å, 2θ 21.29, I = 27; hkl 2 0 2, d = 3.330 Å, 2θ 26.77, I = 34; hkl 3 1 0, d = 2.902 Å, 2θ 30.81, I = 23; hkl 6 0 -1, d = 2.812 Å, 2θ 31.82, I = 33; hkl 1 1 2, d = 2.502 Å, 2θ 35.89, I = 72

No. 4
# CaBO3
Theoretical powder XRD pattern, Cu Kα. Input: a crystal structure in Alexandria, relaxed with GGA-PBE.

Structural model:
a b c (Å): 3.658 9.333 8.422
angles (deg): 90.00 110.21 90.00
Space group P2_1/c (No. 14)
Symmetry-distinct sites (fractional):
1 Ca 0.078 0.005 0.293 x4
2 B 0.305 0.235 0.063 x4
3 O 0.081 0.160 0.925 x4
4 O 0.315 0.118 0.570 x4
5 O 0.498 0.643 0.308 x4

Most intense lines, 10° ≤ 2θ ≤ 80°, by angle:
hkl 0 2 0, d = 4.666 Å, 2θ 19.02, I = 23; hkl 1 1 0, d = 3.222 Å, 2θ 27.69, I = 24; hkl 0 2 2, d = 3.019 Å, 2θ 29.59, I = 100; hkl 1 2 0, d = 2.765 Å, 2θ 32.38, I = 30; hkl 1 2 -2, d = 2.636 Å, 2θ 34.01, I = 45; hkl 0 3 3, d = 2.010 Å, 2θ 45.11, I = 25; hkl 1 4 -2, d = 1.884 Å, 2θ 48.30, I = 21; hkl 1 1 3, d = 1.777 Å, 2θ 51.42, I = 31

No. 5
# AgPdSO4
Theoretical powder XRD pattern, Cu Kα. Input: a crystal structure in Alexandria, relaxed with GGA-PBE.

Structural model:
a b c (Å): 6.037 6.037 5.685
angles (deg): 90.00 90.00 90.00
Space group I-4 (No. 82)
Symmetry-distinct sites (fractional):
1 Ag 0.000 0.000 0.000 x2
2 Pd 0.000 0.000 0.500 x2
3 S 0.000 0.500 0.250 x2
4 O 0.131 0.657 0.401 x8

Most intense lines, 10° ≤ 2θ ≤ 80°, by angle:
hkl 1 1 0, d = 4.269 Å, 2θ 20.81, I = 97; hkl 2 0 0, d = 3.018 Å, 2θ 29.60, I = 91; hkl 0 0 2, d = 2.843 Å, 2θ 31.47, I = 30; hkl 1 1 2, d = 2.366 Å, 2θ 38.03, I = 100; hkl 2 2 0, d = 2.134 Å, 2θ 42.35, I = 38; hkl 2 0 2, d = 2.069 Å, 2θ 43.74, I = 37; hkl 3 1 0, d = 1.909 Å, 2θ 47.64, I = 41; hkl 3 1 2, d = 1.585 Å, 2θ 58.22, I = 62

No. 6
# NpGa4Pd8
Theoretical powder XRD pattern, Cu Kα. Input: a crystal structure in Alexandria, relaxed with GGA-PBE.

Structural model:
a b c (Å): 8.822 8.822 5.446
angles (deg): 90.00 90.00 90.00
Space group I4/mmm (No. 139)
Symmetry-distinct sites (fractional):
1 Np 0.000 0.000 0.000 x2
2 Ga 0.250 0.250 0.250 x8
3 Pd 0.000 0.224 0.500 x8
4 Pd 0.000 0.332 0.000 x8

Most intense lines, 10° ≤ 2θ ≤ 80°, by angle:
hkl 0 0 2, d = 2.723 Å, 2θ 32.89, I = 34; hkl 3 0 1, d = 2.588 Å, 2θ 34.67, I = 56; hkl 2 0 2, d = 2.317 Å, 2θ 38.86, I = 55; hkl 3 2 1, d = 2.232 Å, 2θ 40.41, I = 100; hkl 4 0 0, d = 2.206 Å, 2θ 40.92, I = 61; hkl 2 2 2, d = 2.051 Å, 2θ 44.15, I = 44; hkl 3 2 3, d = 1.458 Å, 2θ 63.84, I = 26; hkl 6 3 1, d = 1.278 Å, 2θ 74.17, I = 31